Tm3TeBr7: theoretical powder diffractogram (Cu Kα, 1.54184 Å), based on DFT lattice parameters and positions (GGA-PBE).

Cell: 14.2763 8.2594 10.1037 Å, 90.00 134.88 90.00°
Space group Cm (No. 8)
Unique sites:
Tm  0.0000  0.0000  0.0000 (multiplicity 2)
Tm  0.2578  0.2572  0.5140 (multiplicity 4)
Te  0.2091  0.5000  0.6761 (multiplicity 2)
Br  0.0290  0.2368  0.8342 (multiplicity 4)
Br  0.2295  0.0000  0.6601 (multiplicity 2)
Br  0.2860  0.0000  0.3414 (multiplicity 2)
Br  0.2924  0.5000  0.3598 (multiplicity 2)
Br  0.4910  0.2613  0.1843 (multiplicity 4)

Principal peaks in the range 2θ from 10° to 90°, low angle first:
2theta, d/Å, I_rel
12.4, 7.141, 87
13.8, 6.396, 26
27.9, 3.199, 100
35.5, 2.527, 70
43.8, 2.066, 37
45.8, 1.983, 40

=====

K2Ba2US6: theoretical powder diffractogram (Cu Kα, 1.54184 Å), based on DFT lattice parameters and positions (GGA-PBE).

Cell: 7.8016 12.9342 7.8062 Å, 90.00 108.21 90.00°
Space group C2/m (No. 12)
Unique sites:
K  0.0000  0.1660  0.0000 (multiplicity 4)
Ba  0.0000  0.3374  0.5000 (multiplicity 4)
U  0.0000  0.0000  0.5000 (multiplicity 2)
S  0.2011  0.1422  0.6987 (multiplicity 8)
S  0.2051  0.0000  0.2979 (multiplicity 4)

Principal peaks in the range 2θ from 10° to 90°, low angle first:
2theta, d/Å, I_rel
11.9, 7.415, 100
23.9, 3.727, 28
24.0, 3.706, 30
28.2, 3.161, 33
28.4, 3.138, 66
40.5, 2.227, 44

=====

Sr12Fe4Sb: theoretical powder diffractogram (Cu Kα, 1.54184 Å), based on DFT lattice parameters and positions (GGA-PBE).

Cell: 11.2403 11.2403 11.2403 Å, 90.00 90.00 90.00°
Space group Im-3 (No. 204)
Unique sites:
Sr  0.0000  0.2969  0.1800 (multiplicity 24)
Fe  0.2500  0.2500  0.2500 (multiplicity 8)
Sb  0.0000  0.0000  0.0000 (multiplicity 2)

Principal peaks in the range 2θ from 10° to 90°, low angle first:
2theta, d/Å, I_rel
25.1, 3.554, 100
29.7, 3.004, 99
31.8, 2.810, 36
39.3, 2.294, 35
47.1, 1.928, 53
50.0, 1.823, 47

=====

Ba3As3Au2: theoretical powder diffractogram (Cu Kα, 1.54184 Å), based on DFT lattice parameters and positions (GGA-PBE).

Cell: 4.5443 12.2419 17.6459 Å, 90.00 90.00 90.00°
Space group Cmcm (No. 63)
Unique sites:
Ba  0.0000  0.0873  0.2500 (multiplicity 4)
Ba  0.0000  0.3764  0.0848 (multiplicity 8)
As  0.0000  0.1020  0.0642 (multiplicity 8)
As  0.0000  0.2027  0.7500 (multiplicity 4)
Au  0.0000  0.3283  0.6232 (multiplicity 8)

Principal peaks in the range 2θ from 10° to 90°, low angle first:
2theta, d/Å, I_rel
15.3, 5.783, 43
29.2, 3.063, 100
29.9, 2.992, 45
33.0, 2.717, 61
35.9, 2.501, 67
39.7, 2.272, 42

=====

TePb6: theoretical powder diffractogram (Cu Kα, 1.54184 Å), based on DFT lattice parameters and positions (GGA-PBE).

Cell: 8.5311 8.5311 8.5311 Å, 90.00 90.00 90.00°
Space group Im-3m (No. 229)
Unique sites:
Te  0.0000  0.0000  0.0000 (multiplicity 2)
Pb  0.0000  0.2500  0.5000 (multiplicity 12)

Principal peaks in the range 2θ from 10° to 90°, low angle first:
2theta, d/Å, I_rel
14.7, 6.032, 49
20.8, 4.266, 41
25.6, 3.483, 100
36.5, 2.463, 58
39.5, 2.280, 65
42.4, 2.133, 43

=====

SmZn12Ag4: theoretical powder diffractogram (Cu Kα, 1.54184 Å), based on DFT lattice parameters and positions (GGA-PBE).

Cell: 8.8620 8.8620 8.8620 Å, 90.00 90.00 90.00°
Space group Im-3 (No. 204)
Unique sites:
Sm  0.0000  0.0000  0.0000 (multiplicity 2)
Zn  0.0000  0.1458  0.3573 (multiplicity 24)
Ag  0.2500  0.2500  0.2500 (multiplicity 8)

Principal peaks in the range 2θ from 10° to 90°, low angle first:
2theta, d/Å, I_rel
28.5, 3.133, 54
31.9, 2.802, 100
38.0, 2.368, 46
45.8, 1.982, 39
50.4, 1.809, 50
52.7, 1.738, 47

=====

Pm2Ga3Ni: theoretical powder diffractogram (Cu Kα, 1.54184 Å), based on DFT lattice parameters and positions (GGA-PBE).

Cell: 3.8197 4.3367 7.6292 Å, 90.00 90.00 90.00°
Space group Pmm2 (No. 25)
Unique sites:
Pm  0.0000  0.0000  0.0000 (multiplicity 1)
Pm  0.0000  0.5000  0.4733 (multiplicity 1)
Ga  0.5000  0.0000  0.6417 (multiplicity 1)
Ga  0.5000  0.5000  0.1594 (multiplicity 1)
Ga  0.5000  0.5000  0.8207 (multiplicity 1)
Ni  0.5000  0.0000  0.3172 (multiplicity 1)

Principal peaks in the range 2θ from 10° to 90°, low angle first:
2theta, d/Å, I_rel
33.2, 2.699, 49
33.4, 2.683, 100
41.1, 2.194, 47
41.7, 2.168, 24
54.3, 1.690, 24
64.7, 1.440, 25